Calculated X-ray powder pattern
Compound: Cr2TeSe
Radiation: λ = 1.5418 Å (Cu Kα)
Structure: a GGA-PBE-relaxed structure
No peak broadening, texture or thermal motion is included.

Structural model:
```
data_Cr2TeSe
_chemical_formula_sum 'Cr2 Te1 Se1'
_cell_length_a 3.9614
_cell_length_b 3.9614
_cell_length_c 6.3378
_cell_angle_alpha 90.00
_cell_angle_beta 90.00
_cell_angle_gamma 120.00
_space_group_name_H-M_alt 'P -6 m 2'
_space_group_IT_number 187
_space_group_name_Hall 'P -6 2'
loop_
_atom_site_label
_atom_site_type_symbol
_atom_site_fract_x
_atom_site_fract_y
_atom_site_fract_z
Cr1 Cr 0.0000 0.0000 0.2377
Te1 Te 0.3333 0.6667 0.5000
Se1 Se 0.6667 0.3333 0.0000
```

Top 6 peaks for 10° ≤ 2θ ≤ 90°, sorted by position:
index	Position (°2θ)	d_spacing	Rel. int.
1 0 1	29.6	3.017	1000
1 0 2	38.7	2.328	673
1 1 0	45.8	1.981	441
1 0 3	50.8	1.799	212
2 0 1	55.5	1.656	167
1 1 4	77.1	1.237	171